1.
Starting from a PBE+U-relaxed structure, the powder diffractogram of AgW2Br6O2 was computed for Cu Kα (weighted mean of Kα1 and Kα2).
No peak broadening, texture or thermal motion is included.

Structure:
```
data_AgW2Br6O2
_chemical_formula_sum 'Ag2 W4 Br12 O4'
_cell_length_a 14.494
_cell_length_b 3.869
_cell_length_c 11.535
_cell_angle_alpha 90.00
_cell_angle_beta 111.09
_cell_angle_gamma 90.00
_symmetry_space_group_name_H-M 'C 1 m 1'
_symmetry_Int_Tables_number 8
loop_
_symmetry_equiv_pos_as_xyz
'x,y,z'
'x,-y,z'
'x+1/2,y+1/2,z'
'x+1/2,-y+1/2,z'
loop_
_atom_site_label
_atom_site_fract_x
_atom_site_fract_y
_atom_site_fract_z
Ag1 0.000 0.000 0.000
W1 0.169 0.000 0.351
W2 0.342 0.000 0.701
Br1 0.031 0.500 0.824
Br2 0.147 0.000 0.571
Br3 0.204 0.000 0.150
Br4 0.312 0.000 0.904
Br5 0.365 0.000 0.482
Br6 0.482 0.500 0.238
O1 0.172 0.500 0.355
O2 0.341 0.500 0.694
```

Peak list (8 most intense, 10 to 90 degrees two-theta, in order of rising 2θ)
- hkl 2 0 -1, d = 6.964 Å, 2θ 12.71, rel. 1000
- hkl 1 1 0, d = 3.720 Å, 2θ 23.92, rel. 635
- hkl 1 1 -1, d = 3.628 Å, 2θ 24.54, rel. 457
- hkl 4 0 1, d = 2.937 Å, 2θ 30.43, rel. 490
- hkl 2 0 -4, d = 2.881 Å, 2θ 31.04, rel. 431
- hkl 3 1 -4, d = 2.266 Å, 2θ 39.79, rel. 298
- hkl 4 0 -5, d = 2.215 Å, 2θ 40.74, rel. 353
- hkl 1 1 5, d = 1.787 Å, 2θ 51.11, rel. 220

---

2.
Starting from a PBE+U-relaxed structure, the powder diffractogram of Li2MnSiO4 was computed for Cu Kα (weighted mean of Kα1 and Kα2).
No peak broadening, texture or thermal motion is included.

Structure:
```
data_Li2MnSiO4
_chemical_formula_sum 'Li4 Mn2 Si2 O8'
_cell_length_a 4.514
_cell_length_b 4.514
_cell_length_c 8.561
_cell_angle_alpha 90.00
_cell_angle_beta 90.00
_cell_angle_gamma 90.00
_symmetry_space_group_name_H-M 'I -4 2 m'
_symmetry_Int_Tables_number 121
_symmetry_space_group_name_Hall 'I -4 2'
loop_
_atom_site_label
_atom_site_fract_x
_atom_site_fract_y
_atom_site_fract_z
Li1 0.000 0.500 0.250
Mn1 0.000 0.000 0.000
Si1 0.000 0.000 0.500
O1 0.210 0.210 0.386
```

Peak list (8 most intense, 10 to 90 degrees two-theta, in order of rising 2θ)
- hkl 0 0 2, d = 4.280 Å, 2θ 20.75, rel. 560
- hkl 1 1 0, d = 3.192 Å, 2θ 27.95, rel. 451
- hkl 1 1 2, d = 2.559 Å, 2θ 35.07, rel. 1000
- hkl 2 0 2, d = 1.996 Å, 2θ 45.43, rel. 157
- hkl 1 1 4, d = 1.778 Å, 2θ 51.41, rel. 125
- hkl 2 2 0, d = 1.596 Å, 2θ 57.77, rel. 159
- hkl 2 0 4, d = 1.553 Å, 2θ 59.53, rel. 304
- hkl 3 1 2, d = 1.354 Å, 2θ 69.41, rel. 188